(1)
This entry pairs a crystal structure of Cu2H3ClO3 with its simulated XRD peak list. Radiation: Cu Kα (weighted mean of Kα1 and Kα2). Structure: a DFT-relaxed cell (PBE, the Materials Project).
Intensities are scaled so that the largest is 100.

Crystal structure
```
data_Cu2H3ClO3
_cell_length_a 5.7418
_cell_length_b 6.1733
_cell_length_c 5.8011
_cell_angle_alpha 90.00
_cell_angle_beta 90.60
_cell_angle_gamma 90.00
_symmetry_space_group_name_H-M 'P 1 21/m 1'
_symmetry_Int_Tables_number 11
loop_
_symmetry_equiv_pos_as_xyz
'x,y,z'
'-x,-y,-z'
'-x,y+1/2,-z'
'x,-y+1/2,z'
loop_
_atom_site_label
_atom_site_fract_x
_atom_site_fract_y
_atom_site_fract_z
Cu1 0.0000 0.0000 0.0000
Cu2 0.0271 0.2500 0.4925
H1 0.3021 0.5404 0.6901
H2 0.3262 0.7500 0.0340
Cl1 0.3912 0.2500 0.2205
O1 0.1330 0.5068 0.6846
O2 0.1695 0.7500 0.1033
```

Top 8 peaks for 10 to 90 degrees two-theta, in order of rising 2θ:
15.43 deg, I 100.0, (1 0 0)
31.16 deg, I 15.1, (2 0 0)
32.88 deg, I 20.4, (0 2 1)
34.50 deg, I 27.5, (1 0 -2)
36.57 deg, I 41.6, (1 2 1)
45.80 deg, I 13.1, (2 2 -1)
46.04 deg, I 13.1, (2 2 1)
56.13 deg, I 11.7, (0 2 3)


(2)
This entry pairs a crystal structure of SrMg6V with its simulated XRD peak list. Radiation: Cu Kα (weighted mean of Kα1 and Kα2). Structure: a DFT-relaxed cell (PBE, the Materials Project).
Intensities are scaled so that the largest is 100.

Crystal structure
```
data_SrMg6V
_cell_length_a 5.2509
_cell_length_b 6.7149
_cell_length_c 11.3726
_cell_angle_alpha 90.00
_cell_angle_beta 90.00
_cell_angle_gamma 90.00
_symmetry_space_group_name_H-M 'A m m 2'
_symmetry_Int_Tables_number 38
loop_
_symmetry_equiv_pos_as_xyz
'x,y,z'
'-x,-y,z'
'-x,y,z'
'x,-y,z'
'x,y+1/2,z+1/2'
'-x,-y+1/2,z+1/2'
'-x,y+1/2,z+1/2'
'x,-y+1/2,z+1/2'
loop_
_atom_site_label
_atom_site_fract_x
_atom_site_fract_y
_atom_site_fract_z
Sr1 0.0000 0.0000 0.0000
Mg1 0.0000 0.2464 0.7471
Mg2 0.5000 0.0000 0.3395
Mg3 0.5000 0.0000 0.8225
Mg4 0.5000 0.2256 0.5818
V1 0.0000 0.0000 0.5017
```

Top 8 peaks for 10 to 90 degrees two-theta, in order of rising 2θ:
15.58 deg, I 21.8, (0 0 2)
16.89 deg, I 18.2, (1 0 0)
30.93 deg, I 29.2, (0 2 2)
34.15 deg, I 36.2, (2 0 0)
35.44 deg, I 100.0, (1 2 2)
35.92 deg, I 47.1, (1 0 4)
61.98 deg, I 18.3, (3 2 2)
66.97 deg, I 18.0, (2 2 6)


(3)
This entry pairs a crystal structure of CaHfMg14 with its simulated XRD peak list. Radiation: Cu Kα (weighted mean of Kα1 and Kα2). Structure: a DFT-relaxed cell (PBE, the Materials Project).
Intensities are scaled so that the largest is 100.

Crystal structure
```
data_CaHfMg14
_cell_length_a 6.5294
_cell_length_b 6.5294
_cell_length_c 10.2736
_cell_angle_alpha 90.00
_cell_angle_beta 90.00
_cell_angle_gamma 120.00
_symmetry_space_group_name_H-M 'P -6 m 2'
_symmetry_Int_Tables_number 187
_symmetry_space_group_name_Hall 'P -6 2'
loop_
_atom_site_label
_atom_site_fract_x
_atom_site_fract_y
_atom_site_fract_z
Ca1 0.0000 0.0000 0.0000
Hf1 0.0000 0.0000 0.5000
Mg1 0.0033 0.5016 0.5000
Mg2 0.0056 0.5028 0.0000
Mg3 0.1675 0.3349 0.2576
Mg4 0.6667 0.3333 0.2486
```

Top 8 peaks for 10 to 90 degrees two-theta, in order of rising 2θ:
15.67 deg, I 41.2, (1 0 0)
17.91 deg, I 39.0, (1 0 1)
23.40 deg, I 33.5, (1 0 2)
31.65 deg, I 29.5, (2 0 0)
34.93 deg, I 23.8, (0 0 4)
36.27 deg, I 100.0, (2 0 2)
63.52 deg, I 18.2, (2 0 6)
68.05 deg, I 19.1, (2 2 4)


(4)
This entry pairs a crystal structure of CeMnSn2 with its simulated XRD peak list. Radiation: Cu Kα (weighted mean of Kα1 and Kα2). Structure: a DFT-relaxed cell (PBE, the Materials Project).
Intensities are scaled so that the largest is 100.

Crystal structure
```
data_CeMnSn2
_cell_length_a 4.5884
_cell_length_b 18.0910
_cell_length_c 4.7837
_cell_angle_alpha 90.00
_cell_angle_beta 90.00
_cell_angle_gamma 90.00
_symmetry_space_group_name_H-M 'C m c m'
_symmetry_Int_Tables_number 63
_symmetry_space_group_name_Hall '-C 2c 2'
loop_
_atom_site_label
_atom_site_fract_x
_atom_site_fract_y
_atom_site_fract_z
Ce1 0.0000 0.1103 0.2500
Mn1 0.0000 0.3164 0.2500
Sn1 0.0000 0.2528 0.7500
Sn2 0.0000 0.4563 0.2500
```

Top 8 peaks for 10 to 90 degrees two-theta, in order of rising 2θ:
30.81 deg, I 100.0, (1 3 1)
31.49 deg, I 22.3, (1 5 0)
35.18 deg, I 24.2, (0 6 1)
37.61 deg, I 28.6, (0 0 2)
39.27 deg, I 25.4, (2 0 0)
53.74 deg, I 14.4, (2 6 1)
55.50 deg, I 18.6, (2 0 2)
63.68 deg, I 13.1, (1 3 3)


(5)
This entry pairs a crystal structure of SiO2 with its simulated XRD peak list. Radiation: Cu Kα (weighted mean of Kα1 and Kα2). Structure: a DFT-relaxed cell (PBE, the Materials Project).
Intensities are scaled so that the largest is 100.

Crystal structure
```
data_SiO2
_cell_length_a 5.0885
_cell_length_b 9.1386
_cell_length_c 8.3344
_cell_angle_alpha 90.00
_cell_angle_beta 90.00
_cell_angle_gamma 90.00
_symmetry_space_group_name_H-M 'C 2 2 21'
_symmetry_Int_Tables_number 20
loop_
_symmetry_equiv_pos_as_xyz
'x,y,z'
'-x,-y,z+1/2'
'x,-y,-z'
'-x,y,-z+1/2'
'x+1/2,y+1/2,z'
'-x+1/2,-y+1/2,z+1/2'
'x+1/2,-y+1/2,-z'
'-x+1/2,y+1/2,-z+1/2'
loop_
_atom_site_label
_atom_site_fract_x
_atom_site_fract_y
_atom_site_fract_z
Si1 0.0806 0.1671 0.0625
O1 0.0000 0.1698 0.2500
O2 0.0964 0.0000 0.0000
O3 0.1325 0.2571 0.5439
```

Top 8 peaks for 10 to 90 degrees two-theta, in order of rising 2θ:
19.43 deg, I 76.1, (0 2 0)
19.97 deg, I 100.0, (1 1 0)
21.32 deg, I 95.7, (0 0 2)
22.19 deg, I 41.6, (0 2 1)
22.67 deg, I 80.5, (1 1 1)
29.38 deg, I 46.4, (1 1 2)
34.31 deg, I 26.0, (1 3 0)
48.24 deg, I 17.4, (1 1 4)


(6)
This entry pairs a crystal structure of Hf4GeSb7 with its simulated XRD peak list. Radiation: Cu Kα (weighted mean of Kα1 and Kα2). Structure: a DFT-relaxed cell (PBE, the Materials Project).
Intensities are scaled so that the largest is 100.

Crystal structure
```
data_Hf4GeSb7
_cell_length_a 7.3777
_cell_length_b 3.9764
_cell_length_c 9.5625
_cell_angle_alpha 90.00
_cell_angle_beta 90.49
_cell_angle_gamma 90.00
_symmetry_space_group_name_H-M 'P 1 m 1'
_symmetry_Int_Tables_number 6
loop_
_symmetry_equiv_pos_as_xyz
'x,y,z'
'x,-y,z'
loop_
_atom_site_label
_atom_site_fract_x
_atom_site_fract_y
_atom_site_fract_z
Hf1 0.0000 0.0000 0.0000
Hf2 0.0184 0.5000 0.5052
Hf3 0.5019 0.0000 0.8218
Hf4 0.5247 0.5000 0.3328
Ge1 0.6284 0.5000 0.6182
Sb1 0.1297 0.5000 0.2122
Sb2 0.1928 0.5000 0.8107
Sb3 0.3373 0.0000 0.5222
Sb4 0.3945 0.0000 0.1179
Sb5 0.6949 0.5000 0.0143
Sb6 0.8274 0.0000 0.3157
Sb7 0.8739 0.0000 0.7048
```

Top 8 peaks for 10 to 90 degrees two-theta, in order of rising 2θ:
31.62 deg, I 50.2, (1 1 -2)
33.13 deg, I 94.0, (2 1 0)
34.41 deg, I 69.2, (2 1 -1)
34.52 deg, I 81.7, (2 1 1)
38.11 deg, I 100.0, (1 1 -3)
38.27 deg, I 97.9, (1 1 3)
41.14 deg, I 52.7, (3 0 -2)
45.63 deg, I 63.2, (0 2 0)


(7)
This entry pairs a crystal structure of Li4Ca3Si2N6 with its simulated XRD peak list. Radiation: Cu Kα (weighted mean of Kα1 and Kα2). Structure: a DFT-relaxed cell (PBE, the Materials Project).
Intensities are scaled so that the largest is 100.

Crystal structure
```
data_Li4Ca3Si2N6
_cell_length_a 5.8192
_cell_length_b 9.7549
_cell_length_c 5.9988
_cell_angle_alpha 90.00
_cell_angle_beta 90.49
_cell_angle_gamma 90.00
_symmetry_space_group_name_H-M 'C 1 2/m 1'
_symmetry_Int_Tables_number 12
loop_
_symmetry_equiv_pos_as_xyz
'x,y,z'
'-x,-y,-z'
'-x,y,-z'
'x,-y,z'
'x+1/2,y+1/2,z'
'-x+1/2,-y+1/2,-z'
'-x+1/2,y+1/2,-z'
'x+1/2,-y+1/2,z'
loop_
_atom_site_label
_atom_site_fract_x
_atom_site_fract_y
_atom_site_fract_z
Li1 0.1395 0.1755 0.3737
Ca1 0.0000 0.3152 0.0000
Ca2 0.0000 0.5000 0.5000
Si1 0.1190 0.0000 0.8308
N1 0.1925 0.0000 0.1329
N2 0.2156 0.1493 0.7092
```

Top 8 peaks for 10 to 90 degrees two-theta, in order of rising 2θ:
14.77 deg, I 38.3, (0 0 1)
23.25 deg, I 35.7, (1 1 1)
34.77 deg, I 24.8, (1 1 -2)
34.94 deg, I 100.0, (1 3 -1)
35.03 deg, I 44.9, (1 3 1)
38.95 deg, I 39.1, (2 2 -1)
43.52 deg, I 25.0, (2 0 2)
49.25 deg, I 36.4, (0 2 3)


(8)
This entry pairs a crystal structure of Nd5Ga3 with its simulated XRD peak list. Radiation: Cu Kα (weighted mean of Kα1 and Kα2). Structure: a DFT-relaxed cell (PBE, the Materials Project).
Intensities are scaled so that the largest is 100.

Crystal structure
```
data_Nd5Ga3
_cell_length_a 7.8869
_cell_length_b 7.8869
_cell_length_c 14.6029
_cell_angle_alpha 90.00
_cell_angle_beta 90.00
_cell_angle_gamma 90.00
_symmetry_space_group_name_H-M 'I 4/m c m'
_symmetry_Int_Tables_number 140
_symmetry_space_group_name_Hall '-I 4 2c'
loop_
_atom_site_label
_atom_site_fract_x
_atom_site_fract_y
_atom_site_fract_z
Nd1 0.0000 0.0000 0.0000
Nd2 0.1723 0.3277 0.1488
Ga1 0.0000 0.0000 0.2500
Ga2 0.1185 0.3815 0.5000
```

Top 8 peaks for 10 to 90 degrees two-theta, in order of rising 2θ:
25.99 deg, I 14.9, (2 1 1)
31.32 deg, I 100.0, (2 1 3)
32.10 deg, I 15.1, (2 2 0)
33.45 deg, I 41.9, (2 0 4)
36.01 deg, I 42.5, (3 1 0)
36.93 deg, I 14.5, (0 0 6)
51.32 deg, I 18.7, (4 1 3)
55.47 deg, I 16.5, (3 3 4)